For NdTi2CdO6F, a structure optimized by DFT (PBE) gives the theoretical powder XRD pattern in this record (a wavelength of 1.5418 Å).
Neutral-atom scattering factors, no anomalous dispersion.

a = 7.2785 Å, b = 7.2785 Å, c = 7.2785 Å
α = 120.78°, β = 118.39°, γ = 90.73°
Sites, in units of the cell vectors:
Nd 0.0000 0.0000 0.0000
Nd 0.5000 0.0000 0.5000
Ti 0.0000 0.5000 0.5000
Ti 0.5000 0.0000 0.0000
Ti 0.5000 0.5000 0.0000
Ti 0.5000 0.5000 0.5000
Cd 0.0000 0.0000 0.5000
Cd 0.0000 0.5000 0.0000
O 0.1738 0.4238 0.7500
O 0.1764 0.4188 0.3483
O 0.1764 0.8281 0.7576
O 0.4178 0.1678 0.2500
O 0.4295 0.1719 0.8483
O 0.4295 0.5812 0.2576
O 0.5705 0.4188 0.7424
O 0.5705 0.8281 0.1517
O 0.5822 0.8322 0.7500
O 0.8236 0.1719 0.2424
O 0.8236 0.5812 0.6517
O 0.8262 0.5762 0.2500
F 0.1225 0.8725 0.2500
F 0.8775 0.1275 0.7500

The 6 most intense peaks (5 to 70 degrees two-theta), low angle first:
15.06 deg, 5.883 Å, I 29.6
29.66 deg, 3.012 Å, I 100.0
30.39 deg, 2.942 Å, I 93.1
34.66 deg, 2.588 Å, I 34.2
50.15 deg, 1.819 Å, I 63.0
58.64 deg, 1.574 Å, I 27.1